Structure and calculated X-ray powder pattern of LiSiBiO4 (a structure optimized by DFT (PBE); Cu Ka).
Neutral-atom scattering factors, no anomalous dispersion.

Structural model:
Cell: 10.655 7.278 4.956 Å, 90.00 90.00 90.00°
Space group Pna2_1 (No. 33)
Inequivalent atoms, fractional coordinates:
Li (0.157, 0.006, 0.000)
Si (0.089, 0.766, 0.507)
Bi (0.122, 0.259, 0.484)
O (0.060, 0.234, 0.902)
O (0.072, 0.784, 0.843)
O (0.157, 0.952, 0.391)
O (0.166, 0.581, 0.428)

Top 12 peaks for 10° ≤ 2θ ≤ 80°, most intense first:
- d 3.632, I = 100.0, (0 2 0)
- d 4.299, I = 47.0, (2 1 0)
- d 2.569, I = 39.4, (2 2 1)
- d 4.096, I = 39.0, (0 1 1)
- d 2.148, I = 32.4, (4 2 0)
- d 2.233, I = 22.4, (4 1 1)
- d 2.664, I = 16.8, (4 0 0)
- d 2.478, I = 15.6, (0 0 2)
- d 2.208, I = 13.3, (2 3 0)
- d 2.048, I = 12.4, (0 2 2)
- d 2.179, I = 12.1, (0 3 1)
- d 1.687, I = 12.0, (4 3 1)



Structure and calculated X-ray powder pattern of CaNdGaO4 (a structure optimized by DFT (PBE); Cu Ka).
Neutral-atom scattering factors, no anomalous dispersion.

Structural model:
Cell: 5.416 12.067 5.536 Å, 90.00 90.00 90.00°
Space group Cmc2_1 (No. 36)
Inequivalent atoms, fractional coordinates:
Ca (0.000, 0.104, 0.000)
Nd (0.000, 0.389, 0.967)
Ga (0.000, 0.246, 0.483)
O (0.000, 0.080, 0.432)
O (0.000, 0.423, 0.539)
O (0.249, 0.234, 0.736)

Top 12 peaks for 10° ≤ 2θ ≤ 80°, most intense first:
- d 2.789, I = 100.0, (1 3 1)
- d 1.936, I = 38.9, (2 0 2)
- d 2.708, I = 37.0, (2 0 0)
- d 2.768, I = 36.3, (0 0 2)
- d 4.079, I = 34.9, (0 2 1)
- d 4.941, I = 27.0, (1 1 0)
- d 2.013, I = 21.1, (0 6 0)
- d 1.602, I = 20.5, (1 3 3)
- d 2.048, I = 19.9, (1 5 1)
- d 1.579, I = 18.5, (3 3 1)
- d 2.256, I = 16.0, (2 2 1)
- d 1.395, I = 12.4, (2 6 2)



Structure and calculated X-ray powder pattern of Ni4B3 (a structure optimized by DFT (PBE); Cu Ka).
Neutral-atom scattering factors, no anomalous dispersion.

Structural model:
Cell: 6.378 4.882 7.802 Å, 90.00 102.36 90.00°
Space group C2/c (No. 15)
Inequivalent atoms, fractional coordinates:
Ni (0.045, 0.247, 0.487)
Ni (0.205, 0.426, 0.788)
B (0.000, 0.073, 0.750)
B (0.234, 0.079, 0.942)

Top 12 peaks for 10° ≤ 2θ ≤ 80°, most intense first:
- d 2.055, I = 100.0, (0 2 2)
- d 2.193, I = 86.8, (2 0 2)
- d 1.922, I = 78.0, (2 2 0)
- d 2.713, I = 58.6, (2 0 -2)
- d 1.946, I = 55.6, (3 1 -1)
- d 2.261, I = 45.7, (1 1 -3)
- d 1.806, I = 44.2, (1 1 -4)
- d 1.905, I = 43.7, (0 0 4)
- d 2.325, I = 31.8, (0 2 1)
- d 2.904, I = 31.4, (1 1 -2)
- d 1.558, I = 25.5, (1 3 -1)
- d 1.861, I = 24.0, (3 1 -2)



Structure and calculated X-ray powder pattern of CaTi4S8 (a structure optimized by DFT (PBE); Cu Ka).
Neutral-atom scattering factors, no anomalous dispersion.

Structural model:
Cell: 7.2591 7.2591 17.3124 Å, 90.00 90.00 120.00°
Space group R-3m (No. 166, hexagonal axes)
Inequivalent atoms, fractional coordinates:
Ca (0.0000, 0.0000, 0.0000)
Ti (0.0000, 0.0000, 0.5000)
Ti (0.0000, 0.5000, 0.0000)
S (0.0000, 0.0000, 0.2574)
S (0.0234, 0.5117, 0.2497)

Top 12 peaks for 10° ≤ 2θ ≤ 80°, most intense first:
- d 2.543, I = 100.0, (0 2 4)
- d 1.815, I = 31.7, (2 2 0)
- d 1.782, I = 30.2, (2 0 8)
- d 5.771, I = 25.7, (0 0 3)
- d 5.909, I = 22.3, (1 0 1)
- d 1.477, I = 14.9, (4 0 4)
- d 3.093, I = 13.2, (0 2 1)
- d 1.272, I = 8.7, (0 4 8)
- d 5.087, I = 5.0, (0 1 2)
- d 1.731, I = 4.9, (2 2 3)
- d 2.327, I = 4.9, (2 0 5)
- d 1.443, I = 4.7, (0 0 12)



Structure and calculated X-ray powder pattern of MgMn3Te4 (a structure optimized by DFT (PBE); Cu Ka).
Neutral-atom scattering factors, no anomalous dispersion.

Structural model:
Cell: 4.545 4.545 12.785 Å, 90.00 90.00 90.00°
Space group P-4m2 (No. 115)
Inequivalent atoms, fractional coordinates:
Mg (0.000, 0.000, 0.000)
Mn (0.000, 0.000, 0.500)
Mn (0.500, 0.500, 0.250)
Te (0.000, 0.500, 0.130)
Te (0.000, 0.500, 0.625)

Top 12 peaks for 10° ≤ 2θ ≤ 80°, most intense first:
- d 3.704, I = 100.0, (1 0 2)
- d 2.266, I = 43.6, (1 1 4)
- d 1.937, I = 32.3, (2 1 2)
- d 2.272, I = 22.1, (2 0 0)
- d 1.929, I = 15.7, (1 0 6)
- d 1.311, I = 14.3, (3 1 4)
- d 1.471, I = 12.8, (2 1 6)
- d 3.214, I = 10.9, (1 1 0)
- d 1.607, I = 7.3, (2 2 0)
- d 1.237, I = 7.2, (3 2 2)
- d 1.307, I = 7.0, (2 0 8)
- d 1.474, I = 6.5, (3 0 2)